No. 1
# Ac3Pr7
Calculated XRD peak list, Cu Ka. Input: a DFT-relaxed cell (GGA-PBE, Alexandria).
Intensities are scaled so that the largest is 100.

Largest 8 diffraction maxima, low angle first, 2θ from 10° to 90°:
2theta, intensity, h k l
28.50, 15, 2 0 2
28.66, 14, 4 0 -2
29.41, 36, 0 2 0
29.97, 100, 5 1 0
30.02, 36, 3 1 -2
41.41, 11, 2 2 2
52.52, 29, 5 3 0
57.97, 11, 2 2 -4

Crystal structure
Cell: 17.4708 6.0743 7.4705 Å, 90.00 102.00 90.00°
Space group C2/m (No. 12)
One atom of each set of equivalent atoms:
Ac 0.0000 0.0000 0.0000 (multiplicity 2)
Ac 0.2093 0.0000 0.3527 (multiplicity 4)
Pr 0.0000 0.0000 0.5000 (multiplicity 2)
Pr 0.0959 0.5000 0.3013 (multiplicity 4)
Pr 0.0995 0.5000 0.7990 (multiplicity 4)
Pr 0.2128 0.0000 0.8583 (multiplicity 4)

=====

No. 2
# TiC2N6F6
Calculated XRD peak list, Cu Ka. Input: a DFT-relaxed cell (GGA-PBE, Alexandria).
Intensities are scaled so that the largest is 100.

Largest 8 diffraction maxima, low angle first, 2θ from 10° to 90°:
2theta, intensity, h k l
14.01, 100, 1 1 0
14.51, 23, 0 0 1
16.86, 29, 2 0 -1
22.25, 54, 1 1 1
25.40, 18, 3 1 -1
27.50, 15, 2 0 -2
27.64, 17, 0 2 1
29.26, 29, 4 0 -1

Crystal structure
Cell: 12.2683 7.6035 6.5857 Å, 90.00 112.01 90.00°
Space group Cm (No. 8)
One atom of each set of equivalent atoms:
Ti 0.0000 0.0000 0.0000 (multiplicity 2)
C 0.1955 0.5000 0.2820 (multiplicity 2)
C 0.2344 0.0000 0.7833 (multiplicity 2)
N 0.0772 0.5000 0.2117 (multiplicity 2)
N 0.1904 0.0000 0.9407 (multiplicity 2)
N 0.2415 0.3324 0.3079 (multiplicity 4)
N 0.2468 0.1666 0.7347 (multiplicity 4)
F 0.0005 0.2017 0.8616 (multiplicity 4)
F 0.0829 0.0000 0.2865 (multiplicity 2)
F 0.3532 0.5000 0.9881 (multiplicity 2)
F 0.3636 0.3359 0.3903 (multiplicity 4)

=====

No. 3
# Ta2PC2
Calculated XRD peak list, Cu Ka. Input: a DFT-relaxed cell (GGA-PBE, Alexandria).
Intensities are scaled so that the largest is 100.

Largest 8 diffraction maxima, low angle first, 2θ from 10° to 90°:
2theta, intensity, h k l
26.29, 52, 0 0 2
30.06, 66, 1 1 0
40.36, 100, 1 1 2
43.04, 45, 2 0 0
51.14, 35, 2 0 2
63.15, 21, 1 1 4
71.51, 17, 2 0 4
77.06, 30, 3 1 2

Crystal structure
Cell: 4.2036 4.2036 6.7788 Å, 90.00 90.00 90.00°
Space group I4/mmm (No. 139)
One atom of each set of equivalent atoms:
Ta 0.0000 0.5000 0.2500 (multiplicity 4)
P 0.0000 0.0000 0.0000 (multiplicity 2)
C 0.0000 0.0000 0.3894 (multiplicity 4)

=====

No. 4
# K2Nb3I9
Calculated XRD peak list, Cu Ka. Input: a DFT-relaxed cell (GGA-PBE, Alexandria).
Intensities are scaled so that the largest is 100.

Largest 8 diffraction maxima, low angle first, 2θ from 10° to 90°:
2theta, intensity, h k l
10.39, 69, 1 1 -1
25.94, 53, 3 1 0
26.29, 78, 0 0 3
26.44, 71, 2 4 -2
28.54, 54, 3 1 -3
28.98, 57, 2 4 1
32.48, 100, 1 5 2
46.07, 52, 5 5 -2

Crystal structure
Cell: 11.4914 19.1222 11.1591 Å, 90.00 114.30 90.00°
Space group C2/m (No. 12)
One atom of each set of equivalent atoms:
K 0.1113 0.1604 0.3412 (multiplicity 8)
Nb 0.1143 0.5000 0.8891 (multiplicity 4)
Nb 0.1194 0.4211 0.1261 (multiplicity 8)
I 0.0000 0.2963 0.0000 (multiplicity 4)
I 0.0085 0.3990 0.3054 (multiplicity 8)
I 0.1903 0.0000 0.6748 (multiplicity 4)
I 0.1984 0.1988 0.6798 (multiplicity 8)
I 0.2000 0.1025 0.9807 (multiplicity 8)
I 0.2154 0.0000 0.2769 (multiplicity 4)